# Er2Cu3Ag
Simulated powder diffractogram, a wavelength of 1.5418 Å. Input: a cell relaxed with GGA-PBE.

Main lines, by angle (10° ≤ 2θ ≤ 90°):
(1 0 1), 27.28°, rel. 23
(1 1 0), 36.09°, rel. 68
(1 0 3), 39.95°, rel. 100
(2 0 0), 51.96°, rel. 24
(2 1 3), 67.49°, rel. 41
(1 1 6), 75.03°, rel. 14
(2 0 6), 86.19°, rel. 10
(3 1 0), 87.68°, rel. 10

Atomic structure:
```
data_Er2Cu3Ag
_chemical_formula_sum 'Er2 Cu3 Ag1'
_symmetry_space_group_name_H-M 'P 4 m m'
_symmetry_Int_Tables_number 99
_cell_length_a 3.520
_cell_length_b 3.520
_cell_length_c 8.822
_cell_angle_alpha 90.00
_cell_angle_beta 90.00
_cell_angle_gamma 90.00
loop_
_symmetry_equiv_pos_as_xyz
'x,y,z'
'-y,x,z'
'-x,-y,z'
'y,-x,z'
'-x,y,z'
'y,x,z'
'x,-y,z'
'-y,-x,z'
loop_
_atom_site_label
_atom_site_fract_x
_atom_site_fract_y
_atom_site_fract_z
Er1 0.000 0.000 0.000
Er2 0.500 0.500 0.482
Cu1 0.000 0.000 0.315
Cu2 0.500 0.500 0.166
Cu3 0.500 0.500 0.829
Ag1 0.000 0.000 0.671
```